Record 1
Computed powder X-ray diffraction pattern of Rb2Nb3Cl7O5 for λ = 1.5418 Å (Cu Kα), from DFT lattice parameters and positions (PBE).
Neutral-atom scattering factors, no anomalous dispersion.

Structure:
```
data_Rb2Nb3Cl7O5
_chemical_formula_sum 'Rb8 Nb12 Cl28 O20'
_symmetry_space_group_name_H-M 'C 1 2/c 1'
_symmetry_Int_Tables_number 15
_cell_length_a 16.829
_cell_length_b 8.984
_cell_length_c 11.189
_cell_angle_alpha 90.00
_cell_angle_beta 111.56
_cell_angle_gamma 90.00
loop_
_symmetry_equiv_pos_as_xyz
'x,y,z'
'-x,-y,-z'
'-x,y,-z+1/2'
'x,-y,z+1/2'
'x+1/2,y+1/2,z'
'-x+1/2,-y+1/2,-z'
'-x+1/2,y+1/2,-z+1/2'
'x+1/2,-y+1/2,z+1/2'
loop_
_atom_site_label
_atom_site_fract_x
_atom_site_fract_y
_atom_site_fract_z
_atom_site_occupancy
Rb1 0.203 0.040 0.356 1
Nb1 0.000 0.463 0.250 1
Nb2 0.003 0.212 0.974 1
Cl1 0.000 0.088 0.750 1
Cl2 0.152 0.211 0.627 1
Cl3 0.153 0.431 0.333 1
Cl4 0.157 0.210 0.045 1
O1 0.000 0.000 0.000 1
O2 0.001 0.285 0.124 1
O3 0.002 0.399 0.876 1
```

Principal peaks in the range 15 to 90 degrees two-theta, by angle:
2theta, I (rel.), index
21.58, 52, 3 1 -2
22.21, 41, 1 1 2
22.73, 38, 4 0 0
22.85, 42, 2 2 0
25.94, 98, 2 2 -2
26.19, 100, 0 2 2
32.02, 48, 2 0 -4
34.38, 55, 6 0 0
39.05, 36, 4 2 2
50.96, 34, 3 3 -5

=====

Record 2
Computed powder X-ray diffraction pattern of RbNb4ClO5 for λ = 1.5418 Å (Cu Kα), from DFT lattice parameters and positions (PBE).
Neutral-atom scattering factors, no anomalous dispersion.

Structure:
```
data_RbNb4ClO5
_chemical_formula_sum 'Rb1 Nb4 Cl1 O5'
_symmetry_space_group_name_H-M 'P 4/m m m'
_symmetry_Int_Tables_number 123
_symmetry_space_group_name_Hall '-P 4 2'
_cell_length_a 4.217
_cell_length_b 4.217
_cell_length_c 9.207
_cell_angle_alpha 90.00
_cell_angle_beta 90.00
_cell_angle_gamma 90.00
loop_
_atom_site_label
_atom_site_fract_x
_atom_site_fract_y
_atom_site_fract_z
_atom_site_occupancy
Rb1 0.000 0.000 0.000 1
Nb1 0.000 0.500 0.500 1
Nb2 0.500 0.500 0.283 1
Cl1 0.500 0.500 0.000 1
O1 0.000 0.000 0.500 1
O2 0.000 0.500 0.272 1
```

Principal peaks in the range 15 to 90 degrees two-theta, by angle:
2theta, I (rel.), index
21.07, 29, 1 0 0
28.71, 100, 1 0 2
31.54, 94, 1 1 1
39.14, 48, 0 0 4
42.26, 85, 1 1 3
42.89, 94, 2 0 0
52.43, 36, 2 1 2
59.45, 52, 2 0 4
62.28, 29, 2 2 0
78.15, 28, 3 1 3

=====

Record 3
Computed powder X-ray diffraction pattern of NbTe4Cl4O for λ = 1.5418 Å (Cu Kα), from DFT lattice parameters and positions (PBE).
Neutral-atom scattering factors, no anomalous dispersion.

Structure:
```
data_NbTe4Cl4O
_chemical_formula_sum 'Nb4 Te16 Cl16 O4'
_symmetry_space_group_name_H-M 'P -1'
_symmetry_Int_Tables_number 2
_cell_length_a 7.992
_cell_length_b 12.381
_cell_length_c 12.884
_cell_angle_alpha 81.07
_cell_angle_beta 82.10
_cell_angle_gamma 78.69
loop_
_symmetry_equiv_pos_as_xyz
'x,y,z'
'-x,-y,-z'
loop_
_atom_site_label
_atom_site_fract_x
_atom_site_fract_y
_atom_site_fract_z
_atom_site_occupancy
Nb1 0.059 0.260 0.273 1
Nb2 0.440 0.740 0.732 1
Te1 0.072 0.749 0.081 1
Te2 0.214 0.771 0.385 1
Te3 0.232 0.346 0.878 1
Te4 0.242 0.159 0.643 1
Te5 0.246 0.626 0.241 1
Te6 0.277 0.367 0.655 1
Te7 0.430 0.925 0.277 1
Te8 0.484 0.149 0.918 1
Cl1 0.037 0.371 0.412 1
Cl2 0.081 0.421 0.140 1
Cl3 0.098 0.094 0.397 1
Cl4 0.149 0.144 0.129 1
Cl5 0.325 0.879 0.850 1
Cl6 0.382 0.888 0.586 1
Cl7 0.430 0.597 0.879 1
Cl8 0.490 0.604 0.610 1
O1 0.167 0.732 0.730 1
O2 0.338 0.250 0.269 1
```

Principal peaks in the range 15 to 90 degrees two-theta, by angle:
2theta, I (rel.), index
21.39, 57, 0 1 3
24.65, 100, 2 2 1
24.82, 67, 2 1 -1
25.82, 44, 2 -1 1
27.12, 60, 2 2 -1
28.21, 83, 2 -1 2
28.61, 78, 0 3 3
30.15, 52, 2 -2 1
34.51, 35, 2 4 2
38.63, 37, 1 0 -5

=====

Record 4
Computed powder X-ray diffraction pattern of Nb4TlClO5 for λ = 1.5418 Å (Cu Kα), from DFT lattice parameters and positions (PBE).
Neutral-atom scattering factors, no anomalous dispersion.

Structure:
```
data_Nb4TlClO5
_chemical_formula_sum 'Nb4 Tl1 Cl1 O5'
_symmetry_space_group_name_H-M 'P 4/m m m'
_symmetry_Int_Tables_number 123
_symmetry_space_group_name_Hall '-P 4 2'
_cell_length_a 4.210
_cell_length_b 4.210
_cell_length_c 9.252
_cell_angle_alpha 90.00
_cell_angle_beta 90.00
_cell_angle_gamma 90.00
loop_
_atom_site_label
_atom_site_fract_x
_atom_site_fract_y
_atom_site_fract_z
_atom_site_occupancy
Nb1 0.000 0.000 0.217 1
Nb2 0.000 0.500 0.000 1
Tl1 0.500 0.500 0.500 1
Cl1 0.000 0.000 0.500 1
O1 0.000 0.500 0.227 1
O2 0.500 0.500 0.000 1
```

Principal peaks in the range 15 to 90 degrees two-theta, by angle:
2theta, I (rel.), index
19.19, 21, 0 0 2
23.21, 44, 1 0 1
28.67, 100, 1 0 2
31.57, 89, 1 1 1
38.94, 34, 0 0 4
42.19, 68, 1 1 3
42.97, 63, 2 0 0
52.47, 37, 2 1 2
59.37, 37, 2 0 4
78.21, 23, 3 1 3